(1)
The following is a computed powder diffractogram of KHfCu3S4. It was derived from a cell relaxed with GGA-PBE, using Cu Kα (weighted mean of Kα1 and Kα2).

Atomic structure:
Cell lengths 5.673, 7.295, 9.630 Å; angles 90.00, 104.74, 90.00 degrees
Space group P2_1/m (No. 11)
Symmetry-distinct sites (fractional):
K: 0.225 0.250 0.386 [2 per cell]
Hf: 0.123 0.250 0.801 [2 per cell]
Cu: 0.286 0.552 0.019 [4 per cell]
Cu: 0.413 0.750 0.251 [2 per cell]
S: 0.047 0.250 0.040 [2 per cell]
S: 0.197 0.750 0.414 [2 per cell]
S: 0.379 0.510 0.789 [4 per cell]

Principal peaks in the range 2θ = 10–90°, in order of rising 2θ:
2theta  I_rel
15.43  100
29.40  16
31.15  17
31.32  12
34.94  21
35.68  12
40.62  16
44.33  28
45.54  17
51.09  18


(2)
The following is a computed powder diffractogram of CsNdEr. It was derived from a cell relaxed with GGA-PBE, using Cu Kα (weighted mean of Kα1 and Kα2).

Atomic structure:
Cell lengths 8.647, 8.647, 8.647 Å; angles 90.00, 90.00, 90.00 degrees
Space group F-43m (No. 216)
Symmetry-distinct sites (fractional):
Cs: 0.000 0.000 0.000 [4 per cell]
Nd: 0.000 0.000 0.500 [4 per cell]
Er: 0.250 0.250 0.250 [4 per cell]

Principal peaks in the range 2θ = 10–90°, in order of rising 2θ:
2theta  I_rel
17.77  31
20.54  8
29.21  100
34.40  19
41.78  19
45.74  8
51.79  40
60.57  13
68.64  17
83.70  21


Which formula does entry 2 have? CsNdEr